Record 1
This entry pairs a crystal structure of BaLiAgPd with its theoretical X-ray powder pattern. Radiation: Cu Kα (λ = 1.5418 Å). Structure: a GGA-PBE-relaxed structure.
Neutral-atom scattering factors, no anomalous dispersion.

Main lines, low angle first (5 to 70 degrees two-theta):
h k l	2theta	I_rel
2 0 -1	23.00	920
1 1 1	30.82	460
0 0 2	31.59	159
2 0 1	34.74	1000
0 2 0	39.18	252
3 1 -1	39.35	499
2 2 -1	45.95	95
3 1 -3	51.31	159
2 2 1	53.38	189
1 1 3	59.13	218

abc: 7.9201 4.5985 6.2498
angles: 90.00 114.99 90.00
Space group Cm (No. 8)
Inequivalent atoms, fractional coordinates:
Ba1 0.0000 0.0000 0.0000 x2
Li1 0.4918 0.0000 0.4739 x2
Ag1 0.1966 0.0000 0.5884 x2
Pd1 0.2980 0.5000 0.3932 x2

Record 2
This entry pairs a crystal structure of K2PaI7 with its theoretical X-ray powder pattern. Radiation: Cu Kα (λ = 1.5418 Å). Structure: a GGA-PBE-relaxed structure.
Neutral-atom scattering factors, no anomalous dispersion.

Main lines, low angle first (5 to 70 degrees two-theta):
h k l	2theta	I_rel
1 1 0	10.92	1000
1 1 -1	11.41	481
2 0 0	11.62	483
2 0 -2	13.36	518
1 1 -3	24.38	374
5 1 -1	26.52	526
1 3 0	28.60	915
1 1 3	31.32	492
0 2 3	31.92	394
7 1 -3	33.51	379

abc: 19.5023 9.5635 13.2946
angles: 90.00 128.66 90.00
Space group C2/c (No. 15)
Inequivalent atoms, fractional coordinates:
K1 0.1936 0.0534 0.2982 x8
Pa1 0.0000 0.3838 0.7500 x4
I1 0.0000 0.0588 0.7500 x4
I2 0.0838 0.3293 0.0266 x8
I3 0.1182 0.3509 0.3884 x8
I4 0.1671 0.3186 0.7860 x8

Record 3
This entry pairs a crystal structure of La6GaPt with its theoretical X-ray powder pattern. Radiation: Cu Kα (λ = 1.5418 Å). Structure: a GGA-PBE-relaxed structure.
Neutral-atom scattering factors, no anomalous dispersion.

Main lines, low angle first (5 to 70 degrees two-theta):
h k l	2theta	I_rel
0 1 1	15.18	135
1 0 -1	16.93	141
0 1 2	22.67	186
0 0 2	26.06	129
2 1 -1	28.55	1000
2 2 0	30.63	131
1 2 -1	36.66	465
3 0 -1	44.65	305
2 1 3	47.54	226
2 4 1	53.83	102

abc: 7.0241 7.0325 7.9504
angles: 63.76 89.99 60.07
Space group P-1 (No. 2)
Inequivalent atoms, fractional coordinates:
La1 0.0543 0.1684 0.2613 x2
La2 0.2237 0.2068 0.7390 x2
La3 0.4292 0.5158 0.2613 x2
Ga1 0.5000 0.0000 0.5000 x1
Pt1 0.0000 0.0000 0.0000 x1

Record 4
This entry pairs a crystal structure of Ac2Zn3Cu2 with its theoretical X-ray powder pattern. Radiation: Cu Kα (λ = 1.5418 Å). Structure: a GGA-PBE-relaxed structure.
Neutral-atom scattering factors, no anomalous dispersion.

Main lines, low angle first (5 to 70 degrees two-theta):
h k l	2theta	I_rel
0 2 0	8.67	354
1 3 0	25.14	415
0 4 1	28.34	270
1 1 1	31.36	1000
1 3 1	33.79	574
0 6 1	34.61	684
1 7 0	37.71	642
2 0 0	43.62	284
2 6 1	56.85	330
1 7 2	60.38	318

abc: 4.1495 20.4071 4.0020
angles: 90.00 90.00 90.00
Space group Cmmm (No. 65)
Inequivalent atoms, fractional coordinates:
Ac1 0.0000 0.1584 0.0000 x4
Zn1 0.0000 0.0000 0.0000 x2
Zn2 0.0000 0.4363 0.5000 x4
Cu1 0.0000 0.2850 0.5000 x4

Record 5
This entry pairs a crystal structure of TmZrSe4 with its theoretical X-ray powder pattern. Radiation: Cu Kα (λ = 1.5418 Å). Structure: a GGA-PBE-relaxed structure.
Neutral-atom scattering factors, no anomalous dispersion.

Main lines, low angle first (5 to 70 degrees two-theta):
h k l	2theta	I_rel
0 2 0	19.07	939
2 0 0	19.25	820
1 1 1	26.15	549
2 0 1	29.61	1000
1 3 0	30.39	421
1 3 1	38.00	935
3 1 1	38.20	725
4 0 0	39.08	430
0 0 2	45.45	417
3 3 1	47.46	991

abc: 9.2206 9.3099 3.9909
angles: 90.00 90.00 90.00
Space group Cmmm (No. 65)
Inequivalent atoms, fractional coordinates:
Tm1 0.0000 0.0000 0.0000 x2
Zr1 0.0000 0.5000 0.5000 x2
Se1 0.0000 0.3046 0.0000 x4
Se2 0.2097 0.0000 0.5000 x4

Record 6
This entry pairs a crystal structure of Be2SbP with its theoretical X-ray powder pattern. Radiation: Cu Kα (λ = 1.5418 Å). Structure: a GGA-PBE-relaxed structure.
Neutral-atom scattering factors, no anomalous dispersion.

Main lines, low angle first (5 to 70 degrees two-theta):
h k l	2theta	I_rel
0 0 1	14.78	509
0 1 0	25.72	173
1 0 0	25.96	211
1 0 -1	28.34	381
0 1 1	29.80	1000
1 0 1	31.58	258
1 1 0	36.86	303
1 1 1	41.16	171
1 1 -2	45.90	227
0 2 0	52.89	201

abc: 3.4584 3.4641 6.0392
angles: 90.00 97.01 90.00
Space group Pm (No. 6)
Inequivalent atoms, fractional coordinates:
Be1 0.0000 0.0000 0.0000 x1
Be2 0.4936 0.5000 0.0003 x1
Sb1 0.4224 0.0000 0.6619 x1
P1 0.0368 0.5000 0.1977 x1